This entry pairs a crystal structure of Er12PuTh5 with its simulated powder X-ray diffraction pattern. Radiation: CuKα. Structure: a DFT-relaxed cell (PBE, Alexandria).
No peak broadening, texture or thermal motion is included.

Most intense lines, 10° ≤ 2θ ≤ 90°, low angle first:
d [Å]  I_rel
2.868  100
2.492  17
2.480  34
1.758  24
1.754  12
1.501  14
1.496  29
1.434  12
1.141  12
1.138  6

Atomic structure:
```
Er12PuTh5
1.0
2.483 -7.435 0.000
2.483 7.435 0.000
0.000 0.000 14.950
Er Pu Th
12 1 5
direct
0.000 0.000 0.162 Er
0.000 0.000 0.838 Er
0.167 0.833 0.335 Er
0.167 0.833 0.665 Er
0.334 0.666 0.159 Er
0.334 0.666 0.841 Er
0.500 0.500 0.335 Er
0.500 0.500 0.665 Er
0.666 0.334 0.159 Er
0.666 0.334 0.841 Er
0.833 0.167 0.335 Er
0.833 0.167 0.665 Er
0.500 0.500 0.000 Pu
0.000 0.000 0.500 Th
0.160 0.840 0.000 Th
0.333 0.667 0.500 Th
0.667 0.333 0.500 Th
0.840 0.160 0.000 Th
```

=====

This entry pairs a crystal structure of Ta5Nb6 with its simulated powder X-ray diffraction pattern. Radiation: CuKα. Structure: a DFT-relaxed cell (PBE, Alexandria).
No peak broadening, texture or thermal motion is included.

Most intense lines, 10° ≤ 2θ ≤ 90°, low angle first:
d [Å]  I_rel
6.314  13
3.765  11
2.453  18
2.379  38
2.349  100
2.345  45
1.382  12
1.368  18
1.287  16
1.195  15

Atomic structure:
```
Ta5Nb6
1.0
4.450 -5.795 0.000
4.450 5.795 0.000
-2.537 0.000 4.026
Ta Nb
5 6
direct
0.000 0.000 0.000 Ta
0.140 0.860 0.500 Ta
0.287 0.713 0.000 Ta
0.713 0.287 0.000 Ta
0.860 0.140 0.500 Ta
0.155 0.441 0.298 Nb
0.307 0.307 0.806 Nb
0.441 0.155 0.298 Nb
0.559 0.845 0.702 Nb
0.693 0.693 0.194 Nb
0.845 0.559 0.702 Nb
```

=====

- What is the formula in the second record?
  Ta5Nb6